1.
# CaLu2Te4
Calculated X-ray diffraction stick pattern, a wavelength of 1.5418 Å. Input: the GGA-PBE geometry in the Materials Project.

The 10 most intense peaks (10° ≤ 2θ ≤ 90°), by intensity:
2θ (°)	intensity	h k l
28.64	100	1 1 1
12.02	56	0 0 1
29.23	48	2 0 -2
40.74	38	1 1 -3
42.01	35	3 1 -1
51.56	19	2 2 -2
40.38	19	2 0 2
41.50	18	0 2 0
24.01	15	1 1 0
59.29	12	2 2 2

Cell and atoms:
```
data_CaLu2Te4
_cell_length_a 7.423
_cell_length_b 4.352
_cell_length_c 7.726
_cell_angle_alpha 90.00
_cell_angle_beta 107.68
_cell_angle_gamma 90.00
_space_group_name_H-M_alt 'P 1 2/m 1'
_space_group_IT_number 10
loop_
_space_group_symop_operation_xyz
'x,y,z'
'-x,-y,-z'
'-x,y,-z'
'x,-y,z'
loop_
_atom_site_label
_atom_site_type_symbol
_atom_site_fract_x
_atom_site_fract_y
_atom_site_fract_z
_atom_site_occupancy
Ca1 Ca 0.000 0.000 0.000 1
Lu1 Lu 0.000 0.500 0.500 1
Lu2 Lu 0.500 0.000 0.500 1
Te1 Te 0.245 0.000 0.734 1
Te2 Te 0.262 0.500 0.260 1
```


2.
# ZnCuAu2
Calculated X-ray diffraction stick pattern, a wavelength of 1.5418 Å. Input: the GGA-PBE geometry in the Materials Project.

The 10 most intense peaks (10° ≤ 2θ ≤ 90°), by intensity:
2θ (°)	intensity	h k l
40.95	100	1 1 -2
41.54	90	1 1 2
39.50	59	0 0 4
39.00	33	2 0 0
27.05	33	1 0 -2
30.15	29	0 1 0
27.90	29	1 0 2
76.67	17	0 2 4
72.21	17	1 1 -6
39.98	16	2 0 -1

Cell and atoms:
```
data_ZnCuAu2
_cell_length_a 4.621
_cell_length_b 2.964
_cell_length_c 9.131
_cell_angle_alpha 90.00
_cell_angle_beta 91.74
_cell_angle_gamma 90.00
_space_group_name_H-M_alt 'P 1 2/m 1'
_space_group_IT_number 10
loop_
_space_group_symop_operation_xyz
'x,y,z'
'-x,-y,-z'
'-x,y,-z'
'x,-y,z'
loop_
_atom_site_label
_atom_site_type_symbol
_atom_site_fract_x
_atom_site_fract_y
_atom_site_fract_z
_atom_site_occupancy
Zn1 Zn 0.191 0.000 0.383 1
Cu1 Cu 0.315 0.000 0.890 1
Au1 Au 0.186 0.500 0.132 1
Au2 Au 0.311 0.500 0.639 1
```


3.
# CaPrCd2
Calculated X-ray diffraction stick pattern, a wavelength of 1.5418 Å. Input: the GGA-PBE geometry in the Materials Project.

The 10 most intense peaks (10° ≤ 2θ ≤ 90°), by intensity:
2θ (°)	intensity	h k l
32.76	100	2 2 0
58.47	36	4 2 2
47.00	18	4 0 0
78.17	15	6 2 0
19.89	13	1 1 1
68.66	11	4 4 0
38.61	7	3 1 1
87.37	4	4 4 4
51.51	3	3 3 1
62.40	3	5 1 1

Cell and atoms:
```
data_CaPrCd2
_cell_length_a 7.733
_cell_length_b 7.733
_cell_length_c 7.733
_cell_angle_alpha 90.00
_cell_angle_beta 90.00
_cell_angle_gamma 90.00
_space_group_name_H-M_alt 'F m -3 m'
_space_group_IT_number 225
_space_group_name_Hall '-F 4 2 3'
loop_
_atom_site_label
_atom_site_type_symbol
_atom_site_fract_x
_atom_site_fract_y
_atom_site_fract_z
_atom_site_occupancy
Ca1 Ca 0.000 0.000 0.000 1
Pr1 Pr 0.000 0.000 0.500 1
Cd1 Cd 0.250 0.250 0.250 1
```


4.
# Sr2B4Rh5
Calculated X-ray diffraction stick pattern, a wavelength of 1.5418 Å. Input: the GGA-PBE geometry in the Materials Project.

The 10 most intense peaks (10° ≤ 2θ ≤ 90°), by intensity:
2θ (°)	intensity	h k l
36.71	100	2 2 0
35.40	55	0 4 0
29.87	47	1 1 3
36.32	45	0 2 4
39.22	29	1 3 3
45.59	28	2 0 4
49.19	27	2 2 4
59.01	24	2 4 4
64.41	21	2 6 0
17.49	18	0 2 0

Cell and atoms:
```
data_Sr2B4Rh5
_cell_length_a 5.590
_cell_length_b 10.143
_cell_length_c 11.334
_cell_angle_alpha 90.00
_cell_angle_beta 90.00
_cell_angle_gamma 90.00
_space_group_name_H-M_alt 'F m m m'
_space_group_IT_number 69
_space_group_name_Hall '-F 2 2'
loop_
_atom_site_label
_atom_site_type_symbol
_atom_site_fract_x
_atom_site_fract_y
_atom_site_fract_z
_atom_site_occupancy
Sr1 Sr 0.000 0.000 0.144 1
B1 B 0.000 0.165 0.372 1
Rh1 Rh 0.000 0.000 0.500 1
Rh2 Rh 0.250 0.250 0.000 1
Rh3 Rh 0.250 0.250 0.250 1
```